# 1
For Ti2VCdW, a PBE-relaxed structure gives the theoretical powder diffractogram in this record (λ = 1.5418 Å (Cu Kα)).

Structure:
```
data_Ti2VCdW
_cell_length_a 4.326
_cell_length_b 4.326
_cell_length_c 4.956
_cell_angle_alpha 90.00
_cell_angle_beta 90.00
_cell_angle_gamma 90.00
_space_group_name_H-M_alt 'P 4/m m m'
_space_group_IT_number 123
_space_group_name_Hall '-P 4 2'
loop_
_atom_site_label
_atom_site_type_symbol
_atom_site_fract_x
_atom_site_fract_y
_atom_site_fract_z
Ti1 Ti 0.000 0.500 0.000
V1 V 0.000 0.000 0.000
Cd1 Cd 0.000 0.000 0.500
W1 W 0.500 0.500 0.500
```

The 10 most intense peaks (2θ from 5° to 70°), in order of rising 2θ:
index	two_theta	Rel. int.
0 0 1	17.9	22
1 0 1	27.4	21
1 1 0	29.2	42
1 1 1	34.5	100
0 0 2	36.3	36
2 0 0	41.8	49
1 1 2	47.2	23
2 0 2	56.5	39
2 2 0	60.5	16
1 1 3	64.1	16

# 2
For Sr3Ag8Pd3, a PBE-relaxed structure gives the theoretical powder diffractogram in this record (λ = 1.5418 Å (Cu Kα)).

Structure:
```
data_Sr3Ag8Pd3
_cell_length_a 4.609
_cell_length_b 10.194
_cell_length_c 13.439
_cell_angle_alpha 90.00
_cell_angle_beta 90.00
_cell_angle_gamma 90.00
_space_group_name_H-M_alt 'I m m m'
_space_group_IT_number 71
_space_group_name_Hall '-I 2 2'
loop_
_atom_site_label
_atom_site_type_symbol
_atom_site_fract_x
_atom_site_fract_y
_atom_site_fract_z
Sr1 Sr 0.000 0.000 0.000
Sr2 Sr 0.000 0.000 0.328
Ag1 Ag 0.000 0.276 0.118
Ag2 Ag 0.000 0.361 0.323
Pd1 Pd 0.000 0.208 0.500
Pd2 Pd 0.000 0.500 0.000
```

The 10 most intense peaks (2θ from 5° to 70°), in order of rising 2θ:
index	two_theta	Rel. int.
0 2 0	17.4	23
1 3 0	32.7	34
1 2 3	33.0	100
0 3 3	33.1	29
1 3 2	35.4	36
1 0 5	38.8	42
2 0 0	39.1	63
1 4 1	41.0	21
1 3 4	42.6	27
1 2 5	42.8	42

# 3
For La6AlAg, a PBE-relaxed structure gives the theoretical powder diffractogram in this record (λ = 1.5418 Å (Cu Kα)).

Structure:
```
data_La6AlAg
_cell_length_a 5.457
_cell_length_b 5.457
_cell_length_c 17.271
_cell_angle_alpha 90.00
_cell_angle_beta 90.00
_cell_angle_gamma 90.00
_space_group_name_H-M_alt 'I 4/m m m'
_space_group_IT_number 139
_space_group_name_Hall '-I 4 2'
loop_
_atom_site_label
_atom_site_type_symbol
_atom_site_fract_x
_atom_site_fract_y
_atom_site_fract_z
La1 La 0.000 0.000 0.245
La2 La 0.000 0.500 0.106
Al1 Al 0.000 0.000 0.000
Ag1 Ag 0.000 0.000 0.500
```

The 10 most intense peaks (2θ from 5° to 70°), in order of rising 2θ:
index	two_theta	Rel. int.
1 1 2	25.3	13
1 1 4	31.1	100
2 0 0	32.8	46
0 0 8	41.8	7
2 0 6	45.8	9
2 2 0	47.1	17
2 0 8	54.2	16
3 1 4	57.5	37
1 1 10	58.6	8
2 2 8	64.8	8

# 4
For PrHo2Th4, a PBE-relaxed structure gives the theoretical powder diffractogram in this record (λ = 1.5418 Å (Cu Kα)).

Structure:
```
data_PrHo2Th4
_cell_length_a 9.368
_cell_length_b 9.368
_cell_length_c 5.548
_cell_angle_alpha 90.00
_cell_angle_beta 90.00
_cell_angle_gamma 90.00
_space_group_name_H-M_alt 'P 42/m n m'
_space_group_IT_number 136
_space_group_name_Hall '-P 4n 2n'
loop_
_atom_site_label
_atom_site_type_symbol
_atom_site_fract_x
_atom_site_fract_y
_atom_site_fract_z
Pr1 Pr 0.000 0.000 0.000
Ho1 Ho 0.186 0.186 0.500
Th1 Th 0.120 0.624 0.500
```

The 10 most intense peaks (2θ from 5° to 70°), in order of rising 2θ:
index	two_theta	Rel. int.
1 1 0	13.4	24
2 1 1	26.7	16
3 1 0	30.2	20
2 2 1	31.5	100
0 0 2	32.3	39
3 1 1	34.3	47
4 0 0	38.4	15
5 1 0	49.6	15
2 2 3	57.0	19
5 1 2	60.4	16